Theoretical PXRD pattern
Compound: ZrPaAg2O8
Radiation: CuKα
Structure: a structure optimized by DFT (PBE)
No peak broadening, texture or thermal motion is included.

Most intense lines, 15 to 90 degrees two-theta, in order of falling intensity:
2θ/deg	Rel. int.
25.33	100
31.14	91
48.43	74
58.71	34
17.84	32
36.13	29
52.01	23
61.89	22
85.02	20
82.25	16

```
data_ZrPaAg2O8
_chemical_formula_sum 'Zr2 Pa2 Ag4 O16'
_symmetry_space_group_name_H-M 'I -4 m 2'
_symmetry_Int_Tables_number 119
_symmetry_space_group_name_Hall 'I -4 -2'
_cell_length_a 7.0308
_cell_length_b 7.0308
_cell_length_c 7.0363
_cell_angle_alpha 90.00
_cell_angle_beta 90.00
_cell_angle_gamma 90.00
loop_
_atom_site_label
_atom_site_fract_x
_atom_site_fract_y
_atom_site_fract_z
Zr1 0.0000 0.0000 0.0000
Pa1 0.0000 0.5000 0.2500
Ag1 0.0000 0.0000 0.5000
Ag2 0.0000 0.5000 0.7500
O1 0.0000 0.1781 0.2583
O2 0.0000 0.3134 0.9814
```

Theoretical PXRD pattern
Compound: Ag9Pb4O12
Radiation: CuKα
Structure: a structure optimized by DFT (PBE)
No peak broadening, texture or thermal motion is included.

Most intense lines, 15 to 90 degrees two-theta, in order of falling intensity:
2θ/deg	Rel. int.
32.45	100
32.81	58
37.35	46
29.72	36
51.96	29
29.94	23
33.03	23
37.12	22
55.01	21
54.57	19

```
data_Ag9Pb4O12
_chemical_formula_sum 'Ag18 Pb8 O24'
_symmetry_space_group_name_H-M 'P 1 21/c 1'
_symmetry_Int_Tables_number 14
_cell_length_a 8.8245
_cell_length_b 10.4374
_cell_length_c 11.9384
_cell_angle_alpha 90.00
_cell_angle_beta 132.44
_cell_angle_gamma 90.00
loop_
_symmetry_equiv_pos_as_xyz
'x,y,z'
'-x,-y,-z'
'-x,y+1/2,-z+1/2'
'x,-y+1/2,z+1/2'
loop_
_atom_site_label
_atom_site_fract_x
_atom_site_fract_y
_atom_site_fract_z
Ag1 0.0000 0.0000 0.0000
Ag2 0.0000 0.0068 0.2556
Ag3 0.0063 0.7465 0.8810
Ag4 0.2245 0.7432 0.2362
Ag5 0.2319 0.2456 0.9883
Pb1 0.4947 0.0813 0.8693
Pb2 0.4994 0.0838 0.3730
O1 0.3035 0.2487 0.7144
O2 0.3052 0.5645 0.6862
O3 0.3056 0.0572 0.9319
O4 0.3116 0.0634 0.4378
O5 0.3148 0.7486 0.4718
O6 0.3193 0.5648 0.1908
```

Theoretical PXRD pattern
Compound: Ag7Pb3O9
Radiation: CuKα
Structure: a structure optimized by DFT (PBE)
No peak broadening, texture or thermal motion is included.

Most intense lines, 15 to 90 degrees two-theta, in order of falling intensity:
2θ/deg	Rel. int.
32.48	100
29.78	45
32.91	36
32.27	34
32.78	31
36.98	27
37.34	27
54.60	26
37.17	25
27.37	18

```
data_Ag7Pb3O9
_chemical_formula_sum 'Ag28 Pb12 O36'
_symmetry_space_group_name_H-M 'C 1 2/m 1'
_symmetry_Int_Tables_number 12
_cell_length_a 14.3259
_cell_length_b 10.3665
_cell_length_c 8.9292
_cell_angle_alpha 90.00
_cell_angle_beta 112.37
_cell_angle_gamma 90.00
loop_
_symmetry_equiv_pos_as_xyz
'x,y,z'
'-x,-y,-z'
'-x,y,-z'
'x,-y,z'
'x+1/2,y+1/2,z'
'-x+1/2,-y+1/2,-z'
'-x+1/2,y+1/2,-z'
'x+1/2,-y+1/2,z'
loop_
_atom_site_label
_atom_site_fract_x
_atom_site_fract_y
_atom_site_fract_z
Ag1 0.0732 0.0000 0.4187
Ag2 0.0836 0.2581 0.6672
Ag3 0.0862 0.5000 0.9013
Ag4 0.1631 0.0000 0.8275
Ag5 0.2461 0.5000 0.7612
Ag6 0.2500 0.2500 0.0000
Pb1 0.0000 0.1694 0.0000
Pb2 0.1660 0.3365 0.3352
O1 0.0389 0.1911 0.2708
O2 0.0635 0.5000 0.3110
O3 0.1037 0.0000 0.0150
O4 0.1280 0.3133 0.0646
O5 0.2086 0.3130 0.6054
O6 0.2239 0.0000 0.6425
```